(1)
This entry pairs a crystal structure of Li4Zn3 with its simulated powder diffraction line list. Radiation: Cu Ka. Structure: a structure optimized by DFT (PBE).
Kinematic intensities with the Lorentz-polarization factor, no thermal factor.

Cell and atoms:
a = 2.818 Å, b = 3.782 Å, c = 20.064 Å
α = 90.00°, β = 90.00°, γ = 90.00°
Space group Immm (No. 71)
Asymmetric unit:
Li  0.000  0.000  0.071 (multiplicity 4)
Li  0.000  0.000  0.211 (multiplicity 4)
Zn  0.000  0.000  0.358 (multiplicity 4)
Zn  0.000  0.000  0.500 (multiplicity 2)

Principal peaks in the range 2θ = 10–90°, sorted by position:
2θ/deg	I (rel.)	index
23.94	100	0 1 1
26.66	38	0 0 6
32.07	48	1 0 1
39.45	66	0 1 7
39.89	64	1 1 0
45.12	46	1 0 7
48.63	28	1 1 6
68.08	25	1 2 7

(2)
This entry pairs a crystal structure of ZrCuHg2 with its simulated powder diffraction line list. Radiation: Cu Ka. Structure: a structure optimized by DFT (PBE).
Kinematic intensities with the Lorentz-polarization factor, no thermal factor.

Cell and atoms:
a = 4.475 Å, b = 4.475 Å, c = 15.512 Å
α = 90.00°, β = 90.00°, γ = 90.00°
Space group I4/mmm (No. 139)
Asymmetric unit:
Zr  0.000  0.000  0.142 (multiplicity 4)
Cu  0.000  0.500  0.250 (multiplicity 4)
Hg  0.000  0.000  0.351 (multiplicity 4)
Hg  0.000  0.500  0.000 (multiplicity 4)

Principal peaks in the range 2θ = 10–90°, sorted by position:
2θ/deg	I (rel.)	index
30.51	26	1 1 2
34.70	13	0 0 6
36.66	100	1 1 4
40.31	45	2 0 0
54.22	14	2 0 6
58.32	15	2 2 0
67.23	17	1 1 10
70.89	29	3 1 4

(3)
This entry pairs a crystal structure of SrTm2Hg3 with its simulated powder diffraction line list. Radiation: Cu Ka. Structure: a structure optimized by DFT (PBE).
Kinematic intensities with the Lorentz-polarization factor, no thermal factor.

Cell and atoms:
a = 3.745 Å, b = 3.745 Å, c = 11.482 Å
α = 90.00°, β = 90.00°, γ = 90.00°
Space group P4/mmm (No. 123)
Asymmetric unit:
Sr  0.000  0.000  0.000 (multiplicity 1)
Tm  0.000  0.000  0.343 (multiplicity 2)
Hg  0.500  0.500  0.195 (multiplicity 2)
Hg  0.500  0.500  0.500 (multiplicity 1)

Principal peaks in the range 2θ = 10–90°, sorted by position:
2θ/deg	I (rel.)	index
33.48	100	1 0 3
33.85	55	1 1 0
39.56	12	1 0 4
48.62	20	2 0 0
59.61	13	1 1 6
60.32	37	2 1 3
81.01	8	3 0 3
81.22	9	3 1 0

(4)
This entry pairs a crystal structure of Tb3Ho3Ni2 with its simulated powder diffraction line list. Radiation: Cu Ka. Structure: a structure optimized by DFT (PBE).
Kinematic intensities with the Lorentz-polarization factor, no thermal factor.

Cell and atoms:
a = 3.636 Å, b = 13.061 Å, c = 18.301 Å
α = 90.00°, β = 90.00°, γ = 90.00°
Space group Cmcm (No. 63)
Asymmetric unit:
Tb  0.000  0.045  0.250 (multiplicity 4)
Tb  0.000  0.177  0.563 (multiplicity 8)
Ho  0.000  0.233  0.750 (multiplicity 4)
Ho  0.000  0.438  0.585 (multiplicity 8)
Ni  0.000  0.197  0.139 (multiplicity 8)

Principal peaks in the range 2θ = 10–90°, sorted by position:
2θ/deg	I (rel.)	index
27.75	48	0 4 1
29.28	87	0 0 6
32.07	52	1 3 0
33.57	37	1 3 2
35.37	100	1 3 3
35.47	98	1 1 5
36.89	83	0 4 5
42.63	39	1 5 0

(5)
This entry pairs a crystal structure of VC8N6 with its simulated powder diffraction line list. Radiation: Cu Ka. Structure: a structure optimized by DFT (PBE).
Kinematic intensities with the Lorentz-polarization factor, no thermal factor.

Cell and atoms:
a = 7.367 Å, b = 5.250 Å, c = 10.519 Å
α = 90.00°, β = 90.00°, γ = 90.00°
Space group Pmna (No. 53)
Asymmetric unit:
V  0.000  0.000  0.000 (multiplicity 2)
C  0.000  0.385  0.244 (multiplicity 4)
C  0.000  0.424  0.662 (multiplicity 4)
C  0.161  0.314  0.618 (multiplicity 8)
N  0.000  0.231  0.163 (multiplicity 4)
N  0.209  0.212  0.923 (multiplicity 8)

Principal peaks in the range 2θ = 10–90°, sorted by position:
2θ/deg	I (rel.)	index
14.68	59	1 0 1
22.45	100	1 1 1
23.95	53	0 1 2
26.87	25	1 1 2
30.66	41	0 1 3
30.85	33	2 1 1
34.28	27	2 1 2
42.26	22	2 2 0

(6)
This entry pairs a crystal structure of Li2ScWN4 with its simulated powder diffraction line list. Radiation: Cu Ka. Structure: a structure optimized by DFT (PBE).
Kinematic intensities with the Lorentz-polarization factor, no thermal factor.

Cell and atoms:
a = 4.796 Å, b = 4.796 Å, c = 9.422 Å
α = 90.00°, β = 90.00°, γ = 90.00°
Space group I-4 (No. 82)
Asymmetric unit:
Li  0.000  0.000  0.000 (multiplicity 2)
Li  0.000  0.500  0.250 (multiplicity 2)
Sc  0.000  0.000  0.500 (multiplicity 2)
W  0.000  0.500  0.750 (multiplicity 2)
N  0.220  0.270  0.633 (multiplicity 8)

Principal peaks in the range 2θ = 10–90°, sorted by position:
2θ/deg	I (rel.)	index
18.84	18	0 0 2
20.78	100	1 0 1
26.28	15	1 1 0
32.53	55	1 1 2
34.13	25	1 0 3
43.26	26	2 1 1
51.60	18	2 1 3
54.61	16	2 0 4